Record 1
For CaLaCo2O6, a PBE+U-relaxed structure gives the computed PXRD pattern in this record (Cu Kα (weighted mean of Kα1 and Kα2)).
Lines closer than 0.1° are merged.

Structure:
```
data_CaLaCo2O6
_chemical_formula_sum 'Ca1 La1 Co2 O6'
_space_group_name_H-M_alt 'P 1'
_space_group_IT_number 1
_space_group_name_Hall 'P 1'
_cell_length_a 5.372
_cell_length_b 5.372
_cell_length_c 5.372
_cell_angle_alpha 60.00
_cell_angle_beta 60.00
_cell_angle_gamma 60.00
loop_
_atom_site_label
_atom_site_type_symbol
_atom_site_fract_x
_atom_site_fract_y
_atom_site_fract_z
Ca1 Ca 0.000 0.000 0.000
La1 La 0.500 0.500 0.500
Co1 Co 0.250 0.250 0.250
Co2 Co 0.750 0.750 0.750
O1 O 0.000 0.000 0.500
O2 O 0.000 0.500 0.000
O3 O 0.000 0.500 0.500
O4 O 0.500 0.000 0.000
O5 O 0.500 0.000 0.500
O6 O 0.500 0.500 0.000
```

Most intense lines, 2θ = 10–80°, low angle first:
d = 4.386 Å, rel. 28
d = 2.686 Å, rel. 100
d = 2.291 Å, rel. 16
d = 2.193 Å, rel. 11
d = 1.899 Å, rel. 37
d = 1.743 Å, rel. 7
d = 1.551 Å, rel. 37
d = 1.462 Å, rel. 5
d = 1.343 Å, rel. 21
d = 1.201 Å, rel. 15

=====

Record 2
For MgZn2Fe4O8, a PBE+U-relaxed structure gives the computed PXRD pattern in this record (Cu Kα (weighted mean of Kα1 and Kα2)).
Lines closer than 0.1° are merged.

Structure:
```
data_MgZn2Fe4O8
_chemical_formula_sum 'Mg1 Zn2 Fe4 O8'
_space_group_name_H-M_alt 'P 1'
_space_group_IT_number 1
_space_group_name_Hall 'P 1'
_cell_length_a 6.585
_cell_length_b 6.585
_cell_length_c 6.585
_cell_angle_alpha 127.17
_cell_angle_beta 125.81
_cell_angle_gamma 79.09
loop_
_atom_site_label
_atom_site_type_symbol
_atom_site_fract_x
_atom_site_fract_y
_atom_site_fract_z
Mg1 Mg 0.000 0.000 0.000
Zn1 Zn 0.298 0.561 0.737
Zn2 Zn 0.824 0.561 0.263
Fe1 Fe 0.260 0.260 0.000
Fe2 Fe 0.456 0.956 0.500
Fe3 Fe 0.776 0.036 0.260
Fe4 Fe 0.776 0.516 0.740
O1 O 0.086 0.357 0.730
O2 O 0.088 0.862 0.226
O3 O 0.126 0.376 0.250
O4 O 0.126 0.876 0.750
O5 O 0.579 0.338 0.759
O6 O 0.579 0.820 0.241
O7 O 0.627 0.357 0.270
O8 O 0.636 0.862 0.774
```

Most intense lines, 2θ = 10–80°, low angle first:
d = 3.233 Å, rel. 20
d = 2.931 Å, rel. 78
d = 2.582 Å, rel. 100
d = 2.548 Å, rel. 47
d = 2.538 Å, rel. 51
d = 2.096 Å, rel. 37
d = 1.938 Å, rel. 23
d = 1.616 Å, rel. 56
d = 1.608 Å, rel. 23
d = 1.465 Å, rel. 19

=====

Record 3
For ZnCoF5, a PBE+U-relaxed structure gives the computed PXRD pattern in this record (Cu Kα (weighted mean of Kα1 and Kα2)).
Lines closer than 0.1° are merged.

Structure:
```
data_ZnCoF5
_chemical_formula_sum 'Zn2 Co2 F10'
_space_group_name_H-M_alt 'P 1'
_space_group_IT_number 1
_space_group_name_Hall 'P 1'
_cell_length_a 5.224
_cell_length_b 5.386
_cell_length_c 7.314
_cell_angle_alpha 109.53
_cell_angle_beta 96.21
_cell_angle_gamma 108.06
loop_
_atom_site_label
_atom_site_type_symbol
_atom_site_fract_x
_atom_site_fract_y
_atom_site_fract_z
Zn1 Zn 0.033 0.261 0.233
Zn2 Zn 0.967 0.739 0.767
Co1 Co 0.500 0.000 0.500
Co2 Co 0.500 0.500 0.000
F1 F 0.162 0.787 0.556
F2 F 0.211 0.149 0.968
F3 F 0.232 0.592 0.880
F4 F 0.311 0.136 0.355
F5 F 0.384 0.629 0.258
F6 F 0.616 0.371 0.742
F7 F 0.689 0.864 0.645
F8 F 0.768 0.408 0.120
F9 F 0.789 0.851 0.032
F10 F 0.838 0.213 0.444
```

Most intense lines, 2θ = 10–80°, low angle first:
d = 3.843 Å, rel. 100
d = 3.299 Å, rel. 70
d = 3.114 Å, rel. 89
d = 1.922 Å, rel. 28
d = 1.870 Å, rel. 18
d = 1.864 Å, rel. 20
d = 1.767 Å, rel. 15
d = 1.673 Å, rel. 13
d = 1.631 Å, rel. 14
d = 1.333 Å, rel. 12

=====

Q: Which formula does entry 1 have?
A: CaLaCo2O6